[1]
The following is a theoretical XRD peak list of Li11Mo12O24. It was derived from a structure optimized by DFT (GGA+U), using λ = 1.5418 Å (Cu Kα).
No peak broadening, texture or thermal motion is included.

Structure:
a = 7.0407 Å, b = 8.2917 Å, c = 9.3517 Å
α = 102.01°, β = 96.15°, γ = 92.77°
Element x y z (fractional)
Li1 0.0000 0.0000 0.0000
Li2 0.0000 0.5000 0.5000
Li3 0.1699 0.1733 0.3292
Li4 0.1790 0.6674 0.8446
Li5 0.3354 0.8248 0.1602
Li6 0.3361 0.3474 0.6817
Li7 0.5000 0.0000 0.5000
Li8 0.6639 0.6526 0.3183
Li9 0.6646 0.1752 0.8398
Li10 0.8210 0.3326 0.1554
Li11 0.8301 0.8267 0.6708
Mo1 0.0765 0.8407 0.4190
Mo2 0.0923 0.3344 0.9164
Mo3 0.2504 0.5053 0.2487
Mo4 0.2529 0.9965 0.7500
Mo5 0.4156 0.6669 0.5799
Mo6 0.4199 0.1710 0.0828
Mo7 0.5801 0.8290 0.9172
Mo8 0.5844 0.3331 0.4201
Mo9 0.7471 0.0035 0.2500
Mo10 0.7496 0.4947 0.7513
Mo11 0.9077 0.6656 0.0836
Mo12 0.9235 0.1593 0.5810
O1 0.0250 0.9130 0.2094
O2 0.0311 0.3984 0.7020
O3 0.1318 0.7536 0.6210
O4 0.1418 0.2604 0.1268
O5 0.1838 0.5838 0.0428
O6 0.2019 0.0782 0.5386
O7 0.3025 0.9226 0.9591
O8 0.3027 0.4226 0.4571
O9 0.3477 0.7551 0.3745
O10 0.3665 0.2343 0.8686
O11 0.4695 0.0926 0.2929
O12 0.4697 0.5877 0.7821
O13 0.5303 0.4123 0.2179
O14 0.5305 0.9074 0.7071
O15 0.6335 0.7657 0.1314
O16 0.6523 0.2449 0.6255
O17 0.6973 0.5774 0.5429
O18 0.6975 0.0774 0.0409
O19 0.7981 0.9218 0.4614
O20 0.8162 0.4162 0.9572
O21 0.8582 0.7396 0.8732
O22 0.8682 0.2464 0.3790
O23 0.9689 0.6016 0.2980
O24 0.9750 0.0870 0.7906

Top 10 peaks for 2θ from 15° to 90°, in order of falling intensity:
- 2θ = 17.9°, I = 100
- 2θ = 40.2°, I = 46
- 2θ = 41.2°, I = 22
- 2θ = 33.1°, I = 20
- 2θ = 34.6°, I = 19
- 2θ = 32.7°, I = 19
- 2θ = 32.6°, I = 19
- 2θ = 57.5°, I = 15
- 2θ = 45.0°, I = 14
- 2θ = 60.3°, I = 14

[2]
The following is a theoretical XRD peak list of Mn8PbO16. It was derived from a structure optimized by DFT (GGA+U), using λ = 1.5418 Å (Cu Kα).
No peak broadening, texture or thermal motion is included.

Structure:
a = 5.9542 Å, b = 7.1682 Å, c = 7.2035 Å
α = 87.15°, β = 78.13°, γ = 77.92°
Element x y z (fractional)
Mn1 0.0000 0.0000 0.0000
Mn2 0.0915 0.2982 0.3375
Mn3 0.2577 0.6616 0.3019
Mn4 0.3496 0.9654 0.6332
Mn5 0.5005 0.9941 0.0014
Mn6 0.5921 0.2957 0.3296
Mn7 0.7592 0.6635 0.2967
Mn8 0.8538 0.9600 0.6314
Pb1 0.5173 0.4803 0.8147
O1 0.0776 0.5257 0.1767
O2 0.0914 0.1047 0.5298
O3 0.1025 0.8383 0.7682
O4 0.2567 0.1237 0.8648
O5 0.2591 0.8512 0.1020
O6 0.2836 0.4329 0.4604
O7 0.4047 0.1841 0.1958
O8 0.4449 0.7735 0.4377
O9 0.5698 0.5211 0.1627
O10 0.5911 0.1066 0.5303
O11 0.5972 0.8274 0.7642
O12 0.7458 0.1299 0.8688
O13 0.7614 0.8564 0.1031
O14 0.7633 0.4388 0.4654
O15 0.9041 0.1854 0.1981
O16 0.9495 0.7754 0.4337

Top 10 peaks for 2θ from 15° to 90°, in order of falling intensity:
- 2θ = 28.3°, I = 100
- 2θ = 36.3°, I = 91
- 2θ = 17.9°, I = 58
- 2θ = 28.5°, I = 58
- 2θ = 31.3°, I = 44
- 2θ = 28.4°, I = 42
- 2θ = 15.5°, I = 40
- 2θ = 22.0°, I = 37
- 2θ = 40.7°, I = 34
- 2θ = 23.8°, I = 30

[3]
The following is a theoretical XRD peak list of Mn7PbO12. It was derived from a structure optimized by DFT (GGA+U), using λ = 1.5418 Å (Cu Kα).
No peak broadening, texture or thermal motion is included.

Structure:
a = 7.4878 Å, b = 7.4961 Å, c = 7.6871 Å
α = 90.00°, β = 90.03°, γ = 90.00°
Element x y z (fractional)
Mn1 0.0000 0.0000 0.0000
Mn2 0.0000 0.0054 0.5000
Mn3 0.0000 0.4963 0.0000
Mn4 0.2496 0.2555 0.2493
Mn5 0.2496 0.2555 0.7499
Mn6 0.2506 0.7557 0.2507
Mn7 0.2506 0.7557 0.7498
Mn8 0.5000 0.0171 0.5000
Mn9 0.5000 0.5047 0.0000
Mn10 0.5000 0.5100 0.5000
Mn11 0.7494 0.7557 0.2502
Mn12 0.7494 0.7557 0.7493
Mn13 0.7504 0.2555 0.2501
Mn14 0.7504 0.2555 0.7507
Pb1 0.0000 0.5111 0.5000
Pb2 0.5000 0.0004 0.0000
O1 0.0008 0.1941 0.3201
O2 0.0153 0.8218 0.6762
O3 0.1774 0.5060 0.8104
O4 0.1834 0.8200 0.9819
O5 0.1848 0.4897 0.1766
O6 0.1860 0.1804 0.0177
O7 0.3140 0.3299 0.4834
O8 0.3164 0.0218 0.3219
O9 0.3172 0.6906 0.5174
O10 0.3222 0.0050 0.6903
O11 0.4839 0.6888 0.8238
O12 0.4994 0.3158 0.1798
O13 0.5006 0.3158 0.8202
O14 0.5161 0.6888 0.1762
O15 0.6778 0.0050 0.3097
O16 0.6828 0.6906 0.4826
O17 0.6836 0.0218 0.6781
O18 0.6860 0.3299 0.5166
O19 0.8140 0.1804 0.9823
O20 0.8152 0.4897 0.8234
O21 0.8166 0.8200 0.0181
O22 0.8226 0.5060 0.1896
O23 0.9847 0.8218 0.3239
O24 0.9992 0.1941 0.6799

Top 10 peaks for 2θ from 15° to 90°, in order of falling intensity:
- 2θ = 33.4°, I = 100
- 2θ = 33.8°, I = 48
- 2θ = 60.3°, I = 45
- 2θ = 16.5°, I = 33
- 2θ = 59.4°, I = 24
- 2θ = 48.6°, I = 23
- 2θ = 29.1°, I = 17
- 2θ = 16.7°, I = 16
- 2θ = 47.3°, I = 12
- 2θ = 70.2°, I = 12

[4]
The following is a theoretical XRD peak list of Sr2CoGe2O7. It was derived from a structure optimized by DFT (GGA+U), using λ = 1.5418 Å (Cu Kα).
No peak broadening, texture or thermal motion is included.

Structure:
a = 9.8587 Å, b = 9.8634 Å, c = 9.8965 Å
α = 107.55°, β = 107.26°, γ = 113.53°
Element x y z (fractional)
Sr1 0.0000 0.0000 0.0000
Sr2 0.0021 0.6669 0.6710
Sr3 0.1755 0.3439 0.5039
Sr4 0.3418 0.8397 0.1672
Sr5 0.4983 0.5001 0.9992
Sr6 0.5027 0.1680 0.6718
Sr7 0.6730 0.8421 0.5030
Sr8 0.8413 0.3382 0.1681
Co1 0.0039 0.3370 0.8355
Co2 0.0041 0.8369 0.3352
Co3 0.5031 0.3363 0.3353
Co4 0.5053 0.8390 0.8361
Ge1 0.0842 0.0623 0.6916
Ge2 0.2751 0.4688 0.1877
Ge3 0.2785 0.7544 0.4776
Ge4 0.3706 0.0629 0.9752
Ge5 0.5906 0.5657 0.6966
Ge6 0.7794 0.9690 0.1932
Ge7 0.7836 0.2550 0.4830
Ge8 0.8726 0.5604 0.9787
O1 0.0297 0.7197 0.9727
O2 0.1131 0.3126 0.1917
O3 0.1170 0.5888 0.4728
O4 0.1598 0.9919 0.8309
O5 0.2395 0.8942 0.4186
O6 0.2399 0.4993 0.0142
O7 0.2498 0.2251 0.6976
O8 0.3478 0.6795 0.3356
O9 0.3487 0.1027 0.1524
O10 0.3524 0.8647 0.9177
O11 0.4503 0.6047 0.7553
O12 0.4525 0.3685 0.5178
O13 0.4689 0.4802 0.2422
O14 0.4772 0.8916 0.6556
O15 0.5284 0.2235 0.9715
O16 0.6184 0.8127 0.1980
O17 0.6234 0.0895 0.4795
O18 0.6631 0.4965 0.8386
O19 0.7391 0.3929 0.4268
O20 0.7388 0.9906 0.0156
O21 0.7557 0.7268 0.7006
O22 0.8449 0.3569 0.9141
O23 0.8473 0.1802 0.3359
O24 0.8551 0.6017 0.1584
O25 0.9454 0.0997 0.7563
O26 0.9455 0.8651 0.5120
O27 0.9781 0.9887 0.2518
O28 0.9871 0.3942 0.6567

Top 10 peaks for 2θ from 15° to 90°, in order of falling intensity:
- 2θ = 29.2°, I = 100
- 2θ = 29.3°, I = 34
- 2θ = 48.4°, I = 20
- 2θ = 34.2°, I = 17
- 2θ = 34.4°, I = 16
- 2θ = 27.1°, I = 16
- 2θ = 48.3°, I = 16
- 2θ = 56.8°, I = 14
- 2θ = 33.2°, I = 14
- 2θ = 48.5°, I = 11

[5]
The following is a theoretical XRD peak list of Sr2MnNbO6. It was derived from a structure optimized by DFT (GGA+U), using λ = 1.5418 Å (Cu Kα).
No peak broadening, texture or thermal motion is included.

Structure:
a = 5.7597 Å, b = 5.7597 Å, c = 5.7597 Å
α = 121.99°, β = 121.99°, γ = 86.58°
Element x y z (fractional)
Sr1 0.2500 0.7500 0.5000
Sr2 0.7500 0.2500 0.5000
Mn1 0.0000 0.0000 0.0000
Nb1 0.5000 0.5000 0.0000
O1 0.2457 0.2457 0.4913
O2 0.2457 0.7543 0.0000
O3 0.2623 0.2623 0.0000
O4 0.7377 0.7377 0.0000
O5 0.7543 0.2457 0.0000
O6 0.7543 0.7543 0.5087

Top 10 peaks for 2θ from 15° to 90°, in order of falling intensity:
- 2θ = 31.1°, I = 100
- 2θ = 32.0°, I = 46
- 2θ = 56.5°, I = 36
- 2θ = 46.0°, I = 33
- 2θ = 64.9°, I = 22
- 2θ = 43.2°, I = 20
- 2θ = 54.8°, I = 20
- 2θ = 89.4°, I = 11
- 2θ = 83.1°, I = 10
- 2θ = 67.0°, I = 10

[6]
The following is a theoretical XRD peak list of Li9Mn2Co5O16. It was derived from a structure optimized by DFT (GGA+U), using λ = 1.5418 Å (Cu Kα).
No peak broadening, texture or thermal motion is included.

Structure:
a = 5.1877 Å, b = 5.9458 Å, c = 10.2583 Å
α = 103.80°, β = 95.24°, γ = 109.90°
Element x y z (fractional)
Li1 0.0000 0.0000 0.0000
Li2 0.0022 0.4987 0.0025
Li3 0.1297 0.4421 0.3687
Li4 0.2490 0.8783 0.7543
Li5 0.2544 0.3757 0.7511
Li6 0.5047 0.7475 0.4895
Li7 0.5149 0.2546 0.4890
Li8 0.7610 0.1351 0.2505
Li9 0.7712 0.6220 0.2449
Mn1 0.8877 0.5599 0.6211
Mn2 0.8892 0.0635 0.6203
Co1 0.1332 0.9407 0.3716
Co2 0.3691 0.3199 0.1279
Co3 0.3725 0.8153 0.1240
Co4 0.6277 0.1877 0.8742
Co5 0.6320 0.6852 0.8763
O1 0.0742 0.9923 0.1954
O2 0.0877 0.4955 0.1812
O3 0.1526 0.4080 0.5685
O4 0.1941 0.8874 0.5531
O5 0.3373 0.3603 0.9431
O6 0.3403 0.8600 0.9375
O7 0.3987 0.8080 0.3055
O8 0.4236 0.2645 0.3059
O9 0.5772 0.2358 0.6903
O10 0.6116 0.7136 0.6880
O11 0.6698 0.1407 0.0536
O12 0.6764 0.6427 0.0562
O13 0.8300 0.6137 0.4429
O14 0.8552 0.0762 0.4386
O15 0.9270 0.0130 0.8076
O16 0.9316 0.5159 0.8048

Top 10 peaks for 2θ from 15° to 90°, in order of falling intensity:
- 2θ = 22.1°, I = 100
- 2θ = 41.7°, I = 48
- 2θ = 44.5°, I = 40
- 2θ = 49.1°, I = 29
- 2θ = 32.0°, I = 27
- 2θ = 53.9°, I = 21
- 2θ = 68.4°, I = 20
- 2θ = 36.7°, I = 19
- 2θ = 39.7°, I = 18
- 2θ = 56.6°, I = 17

[7]
The following is a theoretical XRD peak list of CoF2. It was derived from a structure optimized by DFT (GGA+U), using λ = 1.5418 Å (Cu Kα).
No peak broadening, texture or thermal motion is included.

Structure:
a = 4.7468 Å, b = 4.7468 Å, c = 3.2186 Å
α = 90.00°, β = 90.00°, γ = 90.00°
Element x y z (fractional)
Co1 0.0000 0.0000 0.0000
Co2 0.5000 0.5000 0.5000
F1 0.1957 0.1957 0.5000
F2 0.3043 0.6957 0.0000
F3 0.6957 0.3043 0.0000
F4 0.8043 0.8043 0.5000

Top 10 peaks for 2θ from 15° to 90°, in order of falling intensity:
- 2θ = 26.6°, I = 100
- 2θ = 51.6°, I = 68
- 2θ = 33.6°, I = 57
- 2θ = 65.8°, I = 24
- 2θ = 54.7°, I = 19
- 2θ = 38.8°, I = 19
- 2θ = 64.2°, I = 14
- 2θ = 57.2°, I = 11
- 2θ = 61.8°, I = 10
- 2θ = 83.2°, I = 9

[8]
The following is a theoretical XRD peak list of Ba2CaCu2MoO8. It was derived from a structure optimized by DFT (GGA+U), using λ = 1.5418 Å (Cu Kα).
No peak broadening, texture or thermal motion is included.

Structure:
a = 3.9305 Å, b = 3.9305 Å, c = 12.4258 Å
α = 90.00°, β = 90.00°, γ = 90.00°
Element x y z (fractional)
Ba1 0.0000 0.0000 0.2133
Ba2 0.0000 0.0000 0.7867
Ca1 0.0000 0.0000 0.5000
Cu1 0.5000 0.5000 0.3788
Cu2 0.5000 0.5000 0.6212
Mo1 0.5000 0.5000 0.0000
O1 0.0000 0.5000 0.0000
O2 0.0000 0.5000 0.3737
O3 0.0000 0.5000 0.6263
O4 0.5000 0.0000 0.0000
O5 0.5000 0.0000 0.3737
O6 0.5000 0.0000 0.6263
O7 0.5000 0.5000 0.1537
O8 0.5000 0.5000 0.8463

Top 10 peaks for 2θ from 15° to 90°, in order of falling intensity:
- 2θ = 31.4°, I = 100
- 2θ = 26.8°, I = 91
- 2θ = 32.2°, I = 78
- 2θ = 46.2°, I = 55
- 2θ = 56.9°, I = 52
- 2θ = 36.9°, I = 34
- 2θ = 36.1°, I = 30
- 2θ = 54.2°, I = 26
- 2θ = 60.0°, I = 25
- 2θ = 49.2°, I = 24